Record 1
Starting from a cell relaxed with PBE, the X-ray powder pattern of La3Ho7Er2 was simulated for Cu Kα.
Intensities are scaled so that the largest is 100.

Structural model:
```
data_La3Ho7Er2
_cell_length_a 3.6432
_cell_length_b 5.6132
_cell_length_c 20.4385
_cell_angle_alpha 90.00
_cell_angle_beta 95.15
_cell_angle_gamma 90.00
_space_group_name_H-M_alt 'P 1 2/m 1'
_space_group_IT_number 10
loop_
_space_group_symop_operation_xyz
'x,y,z'
'-x,-y,-z'
'-x,y,-z'
'x,-y,z'
loop_
_atom_site_label
_atom_site_fract_x
_atom_site_fract_y
_atom_site_fract_z
La1 0.0000 0.0000 0.0000
La2 0.3265 0.5000 0.6567
Ho1 0.0865 0.5000 0.1698
Ho2 0.2158 0.0000 0.4314
Ho3 0.4302 0.0000 0.8633
Ho4 0.5000 0.5000 0.0000
Er1 0.1393 0.0000 0.2738
```

Top 8 peaks for 2θ = 10–90°, in order of rising 2θ:
(1 1 -2), 29.97 deg, rel. 26
(0 0 7), 30.77 deg, rel. 66
(1 1 2), 31.26 deg, rel. 100
(1 0 -5), 31.53 deg, rel. 30
(0 2 0), 31.89 deg, rel. 70
(1 1 -4), 33.11 deg, rel. 68
(0 1 7), 34.74 deg, rel. 32
(1 3 2), 56.45 deg, rel. 37

Record 2
Starting from a cell relaxed with PBE, the X-ray powder pattern of RbIn11Ga was simulated for Cu Kα.
Intensities are scaled so that the largest is 100.

Structural model:
```
data_RbIn11Ga
_cell_length_a 6.3188
_cell_length_b 15.2515
_cell_length_c 8.2086
_cell_angle_alpha 90.00
_cell_angle_beta 109.09
_cell_angle_gamma 90.00
_space_group_name_H-M_alt 'C 1 2/m 1'
_space_group_IT_number 12
loop_
_space_group_symop_operation_xyz
'x,y,z'
'-x,-y,-z'
'-x,y,-z'
'x,-y,z'
'x+1/2,y+1/2,z'
'-x+1/2,-y+1/2,-z'
'-x+1/2,y+1/2,-z'
'x+1/2,-y+1/2,z'
loop_
_atom_site_label
_atom_site_fract_x
_atom_site_fract_y
_atom_site_fract_z
Rb1 0.0000 0.0000 0.0000
In1 0.0000 0.0000 0.5000
In2 0.1024 0.3933 0.2214
In3 0.1866 0.1754 0.3628
In4 0.2500 0.2500 0.0000
Ga1 0.0000 0.5000 0.5000
```

Top 8 peaks for 2θ = 10–90°, in order of rising 2θ:
(1 1 2), 31.90 deg, rel. 38
(2 2 0), 32.20 deg, rel. 46
(0 4 2), 32.95 deg, rel. 100
(2 2 -2), 33.46 deg, rel. 60
(0 2 3), 36.68 deg, rel. 37
(2 4 -1), 36.99 deg, rel. 47
(0 6 1), 37.22 deg, rel. 26
(1 3 -3), 37.50 deg, rel. 26